For Fe6Pd12N, DFT lattice parameters and positions (GGA-PBE) gives the simulated powder diffractogram in this record (Cu Kα (λ = 1.5418 Å)).
Neutral-atom scattering factors, no anomalous dispersion.

Most intense lines, 10 to 90 degrees two-theta, in order of falling intensity:
Position (°2θ)	I_rel
42.92	100
39.86	27
37.78	23
82.03	18
74.49	18
68.22	16
56.09	15
84.07	13

Structural model:
abc: 8.2485 8.2485 13.5691
angles: 90.00 90.00 120.00
Space group R-3m (No. 166, hexagonal axes)
Asymmetric unit:
Fe: 0.1103 0.5552 0.2551
Pd: 0.1051 0.5526 0.9168
Pd: 0.1090 0.5545 0.5850
N: 0.0000 0.0000 0.5000